# 1
# Na2ZnGe2S6
Calculated XRD peak list, CuKα. Input: a crystal structure in OQMD, relaxed with PBE.
Intensities are scaled so that the largest is 100.

Largest 10 diffraction maxima, by intensity, 2θ from 10° to 90°:
(hkl)  2θ/deg  d (Å)  I/Imax
1 1 0  14.20  6.237  100.0
1 1 -1  15.08  5.877  81.4
1 1 3  29.48  3.030  44.1
1 3 -2  28.11  3.174  42.7
1 3 1  26.68  3.341  38.9
1 3 0  24.74  3.598  37.6
1 1 -3  25.50  3.494  36.7
0 2 1  16.23  5.462  35.6
0 0 4  31.50  2.840  35.3
0 4 0  28.64  3.117  34.6

Structure:
```
data_Na2ZnGe2S6
_cell_length_a 7.330
_cell_length_b 12.458
_cell_length_c 11.559
_cell_angle_alpha 90.00
_cell_angle_beta 100.61
_cell_angle_gamma 90.00
_symmetry_space_group_name_H-M 'C 1 c 1'
_symmetry_Int_Tables_number 9
_symmetry_space_group_name_Hall 'C -2yc'
loop_
_atom_site_label
_atom_site_type_symbol
_atom_site_fract_x
_atom_site_fract_y
_atom_site_fract_z
Na1 Na 0.000 0.011 0.000
Na2 Na 0.392 0.201 0.866
Zn1 Zn 0.335 0.257 0.204
Ge1 Ge 0.129 0.476 0.730
Ge2 Ge 0.457 0.143 0.480
S1 S 0.108 0.497 0.422
S2 S 0.131 0.307 0.682
S3 S 0.142 0.218 0.022
S4 S 0.202 0.169 0.350
S5 S 0.370 0.070 0.642
S6 S 0.394 0.443 0.222
```

# 2
# Na2ZnGe2Se6
Calculated XRD peak list, CuKα. Input: a crystal structure in OQMD, relaxed with PBE.
Intensities are scaled so that the largest is 100.

Largest 10 diffraction maxima, by intensity, 2θ from 10° to 90°:
(hkl)  2θ/deg  d (Å)  I/Imax
2 1 3  28.99  3.080  100.0
1 1 0  15.90  5.575  71.7
2 0 6  36.41  2.468  46.8
3 1 6  46.36  1.958  41.6
2 2 0  32.11  2.787  22.7
4 1 3  49.82  1.830  21.4
2 1 9  50.41  1.810  20.2
3 3 0  49.02  1.858  18.9
4 0 6  54.88  1.673  14.1
4 2 0  51.86  1.763  11.4

Structure:
```
data_Na2ZnGe2Se6
_cell_length_a 7.884
_cell_length_b 7.884
_cell_length_c 18.987
_cell_angle_alpha 90.00
_cell_angle_beta 90.00
_cell_angle_gamma 90.00
_symmetry_space_group_name_H-M 'I 4/m c m'
_symmetry_Int_Tables_number 140
_symmetry_space_group_name_Hall '-I 4 2c'
loop_
_atom_site_label
_atom_site_type_symbol
_atom_site_fract_x
_atom_site_fract_y
_atom_site_fract_z
Na1 Na 0.000 0.000 0.117
Zn1 Zn 0.000 0.500 0.250
Ge1 Ge 0.000 0.500 0.085
Se1 Se 0.164 0.336 0.000
Se2 Se 0.168 0.332 0.338
```

# 3
# Na4Zn2SiGe
Calculated XRD peak list, CuKα. Input: a crystal structure in OQMD, relaxed with PBE.
Intensities are scaled so that the largest is 100.

Largest 10 diffraction maxima, by intensity, 2θ from 10° to 90°:
(hkl)  2θ/deg  d (Å)  I/Imax
1 1 0  40.09  2.249  100.0
0 0 2  18.11  4.899  85.5
1 0 3  35.88  2.503  71.8
1 0 2  29.29  3.049  60.1
1 1 2  44.32  2.044  49.4
1 1 6  71.38  1.321  32.6
1 1 4  55.47  1.657  25.1
2 0 3  54.88  1.673  19.8
1 0 4  43.65  2.074  19.4
2 1 3  70.11  1.342  17.9

Structure:
```
data_Na4Zn2SiGe
_cell_length_a 4.4980
_cell_length_b 4.4980
_cell_length_c 9.7980
_cell_angle_alpha 90.00
_cell_angle_beta 90.00
_cell_angle_gamma 120.00
_symmetry_space_group_name_H-M 'P -6 m 2'
_symmetry_Int_Tables_number 187
_symmetry_space_group_name_Hall 'P -6 2'
loop_
_atom_site_label
_atom_site_type_symbol
_atom_site_fract_x
_atom_site_fract_y
_atom_site_fract_z
Na1 Na 0.0000 0.0000 0.1651
Na2 Na 0.3333 0.6667 0.3315
Zn1 Zn 0.6667 0.3333 0.0000
Zn2 Zn 0.6667 0.3333 0.5000
Si1 Si 0.3333 0.6667 0.0000
Ge1 Ge 0.0000 0.0000 0.5000
```

# 4
# Nb5Ge4
Calculated XRD peak list, CuKα. Input: a crystal structure in OQMD, relaxed with PBE.
Intensities are scaled so that the largest is 100.

Largest 10 diffraction maxima, by intensity, 2θ from 10° to 90°:
(hkl)  2θ/deg  d (Å)  I/Imax
1 3 2  35.80  2.508  100.0
2 3 1  35.96  2.497  79.8
3 0 1  42.20  2.141  65.9
1 1 3  42.40  2.132  53.6
2 4 1  40.38  2.234  45.2
0 4 2  37.87  2.376  35.8
1 5 1  38.88  2.316  32.5
2 1 2  38.05  2.365  32.4
1 4 2  40.22  2.242  32.2
0 6 0  40.98  2.202  29.5

Structure:
```
data_Nb5Ge4
_cell_length_a 6.764
_cell_length_b 13.215
_cell_length_c 6.838
_cell_angle_alpha 90.00
_cell_angle_beta 90.00
_cell_angle_gamma 90.00
_symmetry_space_group_name_H-M 'P n m a'
_symmetry_Int_Tables_number 62
_symmetry_space_group_name_Hall '-P 2ac 2n'
loop_
_atom_site_label
_atom_site_type_symbol
_atom_site_fract_x
_atom_site_fract_y
_atom_site_fract_z
Nb1 Nb 0.019 0.086 0.174
Nb2 Nb 0.154 0.624 0.336
Nb3 Nb 0.172 0.250 0.508
Ge1 Ge 0.046 0.250 0.896
Ge2 Ge 0.181 0.750 0.660
Ge3 Ge 0.189 0.041 0.535
```

# 5
# Nb2SiNi2Ge
Calculated XRD peak list, CuKα. Input: a crystal structure in OQMD, relaxed with PBE.
Intensities are scaled so that the largest is 100.

Largest 10 diffraction maxima, by intensity, 2θ from 10° to 90°:
(hkl)  2θ/deg  d (Å)  I/Imax
1 1 1  37.89  2.375  100.0
1 0 2  37.11  2.423  83.4
1 1 2  45.09  2.011  70.3
2 0 0  50.66  1.802  63.0
2 1 2  64.44  1.446  31.8
1 0 3  48.80  1.866  28.7
1 1 0  35.22  2.548  27.3
0 0 3  41.39  2.181  22.5
2 0 3  67.41  1.389  19.7
2 2 0  74.46  1.274  19.1

Structure:
```
data_Nb2SiNi2Ge
_cell_length_a 3.604
_cell_length_b 3.604
_cell_length_c 6.544
_cell_angle_alpha 90.00
_cell_angle_beta 90.00
_cell_angle_gamma 90.00
_symmetry_space_group_name_H-M 'P 4 m m'
_symmetry_Int_Tables_number 99
_symmetry_space_group_name_Hall 'P 4 -2'
loop_
_atom_site_label
_atom_site_type_symbol
_atom_site_fract_x
_atom_site_fract_y
_atom_site_fract_z
Nb1 Nb 0.000 0.000 0.000
Nb2 Nb 0.500 0.500 0.279
Si1 Si 0.500 0.500 0.875
Ni1 Ni 0.000 0.500 0.654
Ge1 Ge 0.000 0.000 0.412
```

# 6
# Nb2Ge3Pd2
Calculated XRD peak list, CuKα. Input: a crystal structure in OQMD, relaxed with PBE.
Intensities are scaled so that the largest is 100.

Largest 10 diffraction maxima, by intensity, 2θ from 10° to 90°:
(hkl)  2θ/deg  d (Å)  I/Imax
0 1 8  38.94  2.313  100.0
1 1 0  42.84  2.111  87.3
2 0 8  59.27  1.559  28.5
1 2 8  75.87  1.254  27.0
1 0 4  28.63  3.118  24.6
3 0 0  78.49  1.219  14.2
1 0 16  67.80  1.382  12.7
0 1 5  30.80  2.903  11.8
1 1 12  64.32  1.448  9.0
1 0 1  24.63  3.614  7.5

Structure:
```
data_Nb2Ge3Pd2
_cell_length_a 4.2215
_cell_length_b 4.2215
_cell_length_c 23.8899
_cell_angle_alpha 90.00
_cell_angle_beta 90.00
_cell_angle_gamma 120.00
_symmetry_space_group_name_H-M 'R 3 m'
_symmetry_Int_Tables_number 160
_symmetry_space_group_name_Hall 'R 3 -2"'
loop_
_atom_site_label
_atom_site_type_symbol
_atom_site_fract_x
_atom_site_fract_y
_atom_site_fract_z
Nb1 Nb 0.0000 0.0000 0.0000
Nb2 Nb 0.0000 0.0000 0.4958
Ge1 Ge 0.0000 0.0000 0.3886
Ge2 Ge 0.0000 0.0000 0.6178
Ge3 Ge 0.0000 0.0000 0.8594
Pd1 Pd 0.0000 0.0000 0.2483
Pd2 Pd 0.0000 0.0000 0.7471
```

# 7
# Nb2Ge3Pt2
Calculated XRD peak list, CuKα. Input: a crystal structure in OQMD, relaxed with PBE.
Intensities are scaled so that the largest is 100.

Largest 10 diffraction maxima, by intensity, 2θ from 10° to 90°:
(hkl)  2θ/deg  d (Å)  I/Imax
0 1 8  38.79  2.321  100.0
1 1 0  42.91  2.108  85.2
1 0 4  28.60  3.121  51.2
2 0 8  59.22  1.560  28.9
1 2 8  75.86  1.254  27.8
0 1 2  25.50  3.493  19.8
1 1 12  64.10  1.453  17.1
3 0 0  78.63  1.217  14.3
1 0 16  67.34  1.390  14.0
0 0 6  22.17  4.010  11.7

Structure:
```
data_Nb2Ge3Pt2
_cell_length_a 4.2152
_cell_length_b 4.2152
_cell_length_c 24.0619
_cell_angle_alpha 90.00
_cell_angle_beta 90.00
_cell_angle_gamma 120.00
_symmetry_space_group_name_H-M 'R 3 m'
_symmetry_Int_Tables_number 160
_symmetry_space_group_name_Hall 'R 3 -2"'
loop_
_atom_site_label
_atom_site_type_symbol
_atom_site_fract_x
_atom_site_fract_y
_atom_site_fract_z
Nb1 Nb 0.0000 0.0000 0.0000
Nb2 Nb 0.0000 0.0000 0.4947
Ge1 Ge 0.0000 0.0000 0.3884
Ge2 Ge 0.0000 0.0000 0.6162
Ge3 Ge 0.0000 0.0000 0.8577
Pt1 Pt 0.0000 0.0000 0.2476
Pt2 Pt 0.0000 0.0000 0.7456
```

# 8
# RbNbGeS5
Calculated XRD peak list, CuKα. Input: a crystal structure in OQMD, relaxed with PBE.
Intensities are scaled so that the largest is 100.

Largest 10 diffraction maxima, by intensity, 2θ from 10° to 90°:
(hkl)  2θ/deg  d (Å)  I/Imax
0 1 1  13.98  6.333  100.0
2 0 1  27.01  3.301  85.8
0 0 3  31.42  2.848  83.7
0 2 1  25.43  3.502  54.0
-1 1 1  21.68  4.098  38.6
2 -2 0  41.55  2.173  32.4
0 1 -1  19.41  4.572  30.5
2 3 1  41.34  2.184  29.8
1 1 2  21.57  4.120  27.3
4 1 1  51.64  1.770  24.0

Structure:
```
data_RbNbGeS5
_cell_length_a 7.080
_cell_length_b 7.253
_cell_length_c 9.227
_cell_angle_alpha 68.96
_cell_angle_beta 78.21
_cell_angle_gamma 75.47
_symmetry_space_group_name_H-M 'P -1'
_symmetry_Int_Tables_number 2
_symmetry_space_group_name_Hall '-P 1'
loop_
_atom_site_label
_atom_site_type_symbol
_atom_site_fract_x
_atom_site_fract_y
_atom_site_fract_z
Rb1 Rb 0.094 0.359 0.310
Nb1 Nb 0.263 0.958 0.996
Ge1 Ge 0.478 0.707 0.376
S1 S 0.059 0.772 0.970
S2 S 0.192 0.874 0.292
S3 S 0.279 0.125 0.705
S4 S 0.431 0.247 0.992
S5 S 0.432 0.609 0.643
```